1.
Theoretical XRD peak list of Pr12InPt7 for Cu Kα X-rays, from a PBE-relaxed structure.
Neutral-atom scattering factors, no anomalous dispersion.

Atomic structure:
a b c (Å): 11.342 11.342 11.342
angles (deg): 114.91 114.91 99.07
Fractional positions:
Pr  0.065  0.930  0.280
Pr  0.070  0.350  0.135
Pr  0.136  0.636  0.500
Pr  0.150  0.430  0.865
Pr  0.176  0.324  0.500
Pr  0.216  0.935  0.865
Pr  0.284  0.150  0.720
Pr  0.324  0.824  0.148
Pr  0.350  0.216  0.280
Pr  0.364  0.864  0.500
Pr  0.430  0.565  0.280
Pr  0.435  0.716  0.865
Pr  0.565  0.284  0.135
Pr  0.570  0.435  0.720
Pr  0.636  0.136  0.500
Pr  0.650  0.784  0.720
Pr  0.676  0.176  0.852
Pr  0.716  0.850  0.280
Pr  0.784  0.065  0.135
Pr  0.824  0.676  0.500
Pr  0.850  0.570  0.135
Pr  0.864  0.364  0.500
Pr  0.930  0.650  0.865
Pr  0.935  0.070  0.720
In  0.000  0.000  0.000
In  0.500  0.500  0.000
Pt  0.021  0.870  0.500
Pt  0.126  0.626  0.752
Pt  0.130  0.630  0.151
Pt  0.250  0.250  0.000
Pt  0.370  0.521  0.500
Pt  0.374  0.126  0.500
Pt  0.479  0.979  0.849
Pt  0.521  0.021  0.151
Pt  0.626  0.874  0.500
Pt  0.630  0.479  0.500
Pt  0.750  0.750  0.000
Pt  0.870  0.370  0.849
Pt  0.874  0.374  0.248
Pt  0.979  0.130  0.500

Peak list (10 most intense, 15 to 90 degrees two-theta, in order of falling intensity)
2theta  intensity
33.65  100
30.81  66
35.42  53
32.13  41
32.82  39
31.09  35
36.62  19
31.96  19
34.62  17
68.17  17

***

2.
Theoretical XRD peak list of Li8PuSe6 for Cu Kα X-rays, from a PBE-relaxed structure.
Neutral-atom scattering factors, no anomalous dispersion.

Atomic structure:
a b c (Å): 7.884 7.884 7.884
angles (deg): 54.41 54.41 54.41
Fractional positions:
Li  0.029  0.718  0.386
Li  0.164  0.164  0.164
Li  0.282  0.614  0.971
Li  0.386  0.029  0.718
Li  0.614  0.971  0.282
Li  0.718  0.386  0.029
Li  0.836  0.836  0.836
Li  0.971  0.282  0.614
Pu  0.500  0.500  0.500
Se  0.099  0.414  0.747
Se  0.253  0.901  0.586
Se  0.414  0.747  0.099
Se  0.586  0.253  0.901
Se  0.747  0.099  0.414
Se  0.901  0.586  0.253

Peak list (10 most intense, 15 to 90 degrees two-theta, in order of falling intensity)
2theta  intensity
28.12  100
36.63  56
16.72  47
43.49  40
47.94  27
22.72  18
52.59  17
72.46  15
58.13  14
70.55  14

***

3.
Theoretical XRD peak list of BaAuSe4 for Cu Kα X-rays, from a PBE-relaxed structure.
Neutral-atom scattering factors, no anomalous dispersion.

Atomic structure:
a b c (Å): 5.458 17.462 7.570
angles (deg): 90.00 90.00 90.00
Fractional positions:
Ba  0.000  0.138  0.250
Ba  0.000  0.862  0.750
Ba  0.500  0.362  0.750
Ba  0.500  0.638  0.250
Au  0.000  0.411  0.250
Au  0.000  0.589  0.750
Au  0.500  0.089  0.750
Au  0.500  0.911  0.250
Se  0.185  0.198  0.666
Se  0.185  0.802  0.166
Se  0.242  0.004  0.998
Se  0.242  0.996  0.498
Se  0.258  0.496  0.498
Se  0.258  0.504  0.998
Se  0.315  0.302  0.166
Se  0.315  0.698  0.666
Se  0.685  0.302  0.334
Se  0.685  0.698  0.834
Se  0.742  0.496  0.002
Se  0.742  0.504  0.502
Se  0.758  0.004  0.502
Se  0.758  0.996  0.002
Se  0.815  0.198  0.834
Se  0.815  0.802  0.334

Peak list (10 most intense, 15 to 90 degrees two-theta, in order of falling intensity)
2theta  intensity
25.27  100
40.77  61
31.28  50
20.70  43
38.92  35
15.49  30
39.71  24
23.51  24
42.11  21
42.41  21

***

4.
Theoretical XRD peak list of Rb3CuI6 for Cu Kα X-rays, from a PBE-relaxed structure.
Neutral-atom scattering factors, no anomalous dispersion.

Atomic structure:
a b c (Å): 8.770 8.770 8.770
angles (deg): 120.09 120.09 89.84
Fractional positions:
Rb  0.000  0.000  0.000
Rb  0.250  0.750  0.500
Rb  0.750  0.250  0.500
Cu  0.500  0.500  0.000
I  0.277  0.277  0.000
I  0.278  0.278  0.556
I  0.278  0.722  0.000
I  0.722  0.278  0.000
I  0.722  0.722  0.444
I  0.723  0.723  0.000

Peak list (10 most intense, 15 to 90 degrees two-theta, in order of falling intensity)
2theta  intensity
28.81  100
24.88  97
41.19  66
37.71  22
48.76  22
51.04  21
31.46  15
67.64  14
48.66  11
32.29  10

***

5.
Theoretical XRD peak list of Pu4N3O for Cu Kα X-rays, from a PBE-relaxed structure.
Neutral-atom scattering factors, no anomalous dispersion.

Atomic structure:
a b c (Å): 4.947 4.947 4.947
angles (deg): 90.00 90.00 90.00
Fractional positions:
Pu  0.000  0.000  0.000
Pu  0.000  0.500  0.500
Pu  0.500  0.000  0.500
Pu  0.500  0.500  0.000
N  0.000  0.000  0.500
N  0.000  0.500  0.000
N  0.500  0.000  0.000
O  0.500  0.500  0.500

Peak list (8 most intense, 15 to 90 degrees two-theta, in order of falling intensity)
2theta  intensity
31.32  100
36.32  65
52.30  47
62.24  46
88.36  22
85.57  20
65.34  16
77.12  8

***

6.
Theoretical XRD peak list of Mn5Co6Ge for Cu Kα X-rays, from a PBE-relaxed structure.
Neutral-atom scattering factors, no anomalous dispersion.

Atomic structure:
a b c (Å): 7.001 7.001 7.001
angles (deg): 146.52 131.75 60.00
Fractional positions:
Mn  0.000  0.000  0.000
Mn  0.167  0.667  0.500
Mn  0.333  0.333  0.000
Mn  0.667  0.667  0.000
Mn  0.833  0.333  0.500
Co  0.081  0.832  0.249
Co  0.248  0.500  0.748
Co  0.417  0.168  0.249
Co  0.583  0.832  0.751
Co  0.752  0.500  0.252
Co  0.919  0.168  0.751
Ge  0.500  0.000  0.500

Peak list (6 most intense, 15 to 90 degrees two-theta, in order of falling intensity)
2theta  intensity
44.84  100
82.68  23
44.95  20
65.37  12
82.85  12
65.20  6

***

7.
Theoretical XRD peak list of Cs2Hg6Rh for Cu Kα X-rays, from a PBE-relaxed structure.
Neutral-atom scattering factors, no anomalous dispersion.

Atomic structure:
a b c (Å): 7.436 7.436 7.436
angles (deg): 60.00 60.00 60.00
Fractional positions:
Cs  0.250  0.250  0.250
Cs  0.750  0.750  0.750
Hg  0.236  0.236  0.764
Hg  0.236  0.764  0.236
Hg  0.236  0.764  0.764
Hg  0.764  0.236  0.236
Hg  0.764  0.236  0.764
Hg  0.764  0.764  0.236
Rh  0.500  0.500  0.500

Peak list (10 most intense, 15 to 90 degrees two-theta, in order of falling intensity)
2theta  intensity
29.42  100
34.10  68
49.00  48
58.19  42
81.94  20
79.45  16
61.05  16
16.86  10
37.27  7
71.81  7

***

8.
Theoretical XRD peak list of NdBi2PdO6 for Cu Kα X-rays, from a PBE-relaxed structure.
Neutral-atom scattering factors, no anomalous dispersion.

Atomic structure:
a b c (Å): 5.718 6.073 6.214
angles (deg): 61.02 62.95 89.82
Fractional positions:
Nd  0.000  0.000  0.000
Bi  0.206  0.649  0.567
Bi  0.734  0.176  0.550
Pd  0.527  0.559  0.928
O  0.124  0.321  0.498
O  0.289  0.790  0.826
O  0.394  0.334  0.813
O  0.645  0.842  0.983
O  0.822  0.373  0.983
O  0.874  0.845  0.471

Peak list (10 most intense, 15 to 90 degrees two-theta, in order of falling intensity)
2theta  intensity
28.81  100
28.93  54
28.59  47
29.42  46
31.29  45
21.35  27
19.09  26
51.93  24
38.73  22
54.33  21

***

9.
Theoretical XRD peak list of Nd3Zn2Co for Cu Kα X-rays, from a PBE-relaxed structure.
Neutral-atom scattering factors, no anomalous dispersion.

Atomic structure:
a b c (Å): 12.277 4.551 10.490
angles (deg): 90.00 90.00 90.00
Fractional positions:
Nd  0.057  0.250  0.113
Nd  0.108  0.750  0.562
Nd  0.241  0.250  0.784
Nd  0.259  0.750  0.284
Nd  0.392  0.250  0.062
Nd  0.443  0.750  0.613
Nd  0.557  0.250  0.387
Nd  0.608  0.750  0.938
Nd  0.741  0.250  0.716
Nd  0.759  0.750  0.216
Nd  0.892  0.250  0.438
Nd  0.943  0.750  0.887
Zn  0.013  0.750  0.297
Zn  0.209  0.750  0.985
Zn  0.291  0.250  0.485
Zn  0.487  0.250  0.797
Zn  0.513  0.750  0.203
Zn  0.709  0.750  0.515
Zn  0.791  0.250  0.015
Zn  0.987  0.250  0.703
Co  0.114  0.250  0.362
Co  0.386  0.750  0.862
Co  0.614  0.250  0.138
Co  0.886  0.750  0.638

Peak list (10 most intense, 15 to 90 degrees two-theta, in order of falling intensity)
2theta  intensity
32.28  100
39.60  53
36.33  52
30.59  45
25.81  39
27.65  34
34.06  28
53.03  21
33.84  21
29.79  21